[1]
# Li2Tl13
Theoretical powder X-ray diffraction pattern, Cu Kα (λ = 1.5418 Å). Input: a crystal structure in Alexandria, relaxed with GGA-PBE.

Top 10 peaks for 2θ from 15° to 90°, low angle first:
(0 1 2), 2θ 16.20, d 5.471, rel. 40.6
(0 2 1), 2θ 18.75, d 4.733, rel. 48.1
(3 0 0), 2θ 26.30, d 3.389, rel. 34.6
(1 0 4), 2θ 28.88, d 3.092, rel. 48.5
(1 3 1), 2θ 32.49, d 2.756, rel. 100.0
(0 2 4), 2θ 32.74, d 2.735, rel. 52.7
(3 0 3), 2θ 33.59, d 2.668, rel. 95.9
(3 1 2), 2θ 34.68, d 2.586, rel. 67.2
(0 4 2), 2θ 38.02, d 2.367, rel. 55.6
(4 0 4), 2θ 45.32, d 2.001, rel. 34.5

Structural model:
Cell lengths 11.7396, 11.7396, 12.9818 Å; angles 90.00, 90.00, 120.00 degrees
Space group R-3m (No. 166, hexagonal axes)
One atom of each set of equivalent atoms:
Li: 0.0000 0.0000 0.2111 [6 per cell]
Tl: 0.0000 0.0000 0.0000 [3 per cell]
Tl: 0.0428 0.5214 0.7606 [18 per cell]
Tl: 0.0954 0.1907 0.3748 [18 per cell]


[2]
# AcLa2SmDy4
Theoretical powder X-ray diffraction pattern, Cu Kα (λ = 1.5418 Å). Input: a crystal structure in Alexandria, relaxed with GGA-PBE.

Top 10 peaks for 2θ from 15° to 90°, low angle first:
(4 0 0), 2θ 29.87, d 2.992, rel. 100.0
(0 0 4), 2θ 30.33, d 2.947, rel. 32.0
(2 2 2), 2θ 34.76, d 2.581, rel. 67.1
(6 2 -2), 2θ 49.72, d 1.834, rel. 16.4
(4 0 4), 2θ 50.27, d 1.815, rel. 23.7
(4 4 0), 2θ 58.99, d 1.566, rel. 9.8
(0 4 4), 2θ 59.21, d 1.560, rel. 14.5
(6 2 2), 2θ 59.35, d 1.557, rel. 19.3
(2 2 6), 2θ 59.82, d 1.546, rel. 9.4
(4 4 -4), 2θ 62.01, d 1.497, rel. 8.5

Structural model:
Cell lengths 12.695, 7.354, 12.520 Å; angles 90.00, 109.68, 90.00 degrees
Space group C2/m (No. 12)
One atom of each set of equivalent atoms:
Ac: 0.000 0.000 0.000 [2 per cell]
Ac: 0.000 0.000 0.500 [2 per cell]
La: 0.000 0.500 0.000 [2 per cell]
La: 0.000 0.500 0.500 [2 per cell]
La: 0.250 0.250 0.000 [4 per cell]
Sm: 0.250 0.250 0.500 [4 per cell]
Dy: 0.001 0.253 0.251 [8 per cell]
Dy: 0.248 0.500 0.747 [4 per cell]
Dy: 0.249 0.500 0.250 [4 per cell]


[3]
# La3HoPb2
Theoretical powder X-ray diffraction pattern, Cu Kα (λ = 1.5418 Å). Input: a crystal structure in Alexandria, relaxed with GGA-PBE.

Top 10 peaks for 2θ from 15° to 90°, low angle first:
(1 1 0), 2θ 26.44, d 3.371, rel. 21.6
(1 1 1), 2θ 28.29, d 3.155, rel. 69.1
(0 0 3), 2θ 29.97, d 2.982, rel. 31.5
(1 1 2), 2θ 33.28, d 2.692, rel. 100.0
(1 0 3), 2θ 35.51, d 2.528, rel. 25.3
(2 0 0), 2θ 37.74, d 2.384, rel. 56.6
(2 0 3), 2θ 48.92, d 1.862, rel. 34.6
(2 1 3), 2θ 52.78, d 1.734, rel. 16.6
(2 2 0), 2θ 54.44, d 1.686, rel. 19.8
(3 1 2), 2θ 65.32, d 1.429, rel. 29.1

Structural model:
Cell lengths 4.767, 4.767, 8.945 Å; angles 90.00, 90.00, 90.00 degrees
Space group P-4m2 (No. 115)
One atom of each set of equivalent atoms:
La: 0.000 0.000 0.000 [1 per cell]
La: 0.000 0.500 0.653 [2 per cell]
Ho: 0.500 0.500 0.000 [1 per cell]
Pb: 0.000 0.500 0.277 [2 per cell]


[4]
# Sr3Ca4Au4
Theoretical powder X-ray diffraction pattern, Cu Kα (λ = 1.5418 Å). Input: a crystal structure in Alexandria, relaxed with GGA-PBE.

Top 10 peaks for 2θ from 15° to 90°, low angle first:
(0 0 4), 2θ 20.75, d 4.281, rel. 48.7
(0 2 2), 2θ 21.67, d 4.101, rel. 61.0
(1 2 1), 2θ 28.63, d 3.118, rel. 90.9
(1 1 4), 2θ 30.93, d 2.891, rel. 100.0
(0 3 3), 2θ 32.76, d 2.734, rel. 21.8
(0 2 6), 2θ 36.91, d 2.436, rel. 44.3
(1 3 2), 2θ 37.11, d 2.423, rel. 52.1
(2 0 0), 2θ 41.83, d 2.159, rel. 29.1
(2 2 6), 2θ 56.99, d 1.616, rel. 25.1
(1 5 4), 2θ 57.93, d 1.592, rel. 33.8

Structural model:
Cell lengths 4.319, 9.343, 17.125 Å; angles 90.00, 90.00, 90.00 degrees
Space group Immm (No. 71)
One atom of each set of equivalent atoms:
Sr: 0.000 0.000 0.000 [2 per cell]
Sr: 0.000 0.500 0.105 [4 per cell]
Ca: 0.000 0.310 0.329 [8 per cell]
Au: 0.000 0.000 0.246 [4 per cell]
Au: 0.000 0.213 0.500 [4 per cell]